Structure and computed X-ray powder pattern of Mg2MnB10 (a structure optimized by DFT (PBE); Cu Kα, 1.54184 Å).
Peak positions follow from Bragg's law for the DFT cell and can differ from measured ones.

Crystal structure
```
data_Mg2MnB10
_cell_length_a 5.5047
_cell_length_b 11.3696
_cell_length_c 4.1411
_cell_angle_alpha 90.00
_cell_angle_beta 90.00
_cell_angle_gamma 90.00
_symmetry_space_group_name_H-M 'P b a m'
_symmetry_Int_Tables_number 55
_symmetry_space_group_name_Hall '-P 2 2ab'
loop_
_atom_site_label
_atom_site_fract_x
_atom_site_fract_y
_atom_site_fract_z
Mg1 0.2299 0.1290 0.0000
Mn1 0.0000 0.5000 0.5000
B1 0.0274 0.3141 0.5000
B2 0.1190 0.9547 0.5000
B3 0.1584 0.8005 0.5000
B4 0.2077 0.3827 0.1994
```

Main lines, by intensity (2θ from 15° to 90°):
2θ 17.90, intensity 1000, (1 1 0)
2θ 38.41, intensity 886, (0 4 1)
2θ 39.31, intensity 780, (2 0 1)
2θ 28.08, intensity 651, (1 1 1)
2θ 31.28, intensity 646, (1 2 1)
2θ 15.59, intensity 543, (0 2 0)
2θ 45.90, intensity 526, (2 4 0)
2θ 21.46, intensity 329, (0 0 1)
2θ 26.63, intensity 317, (0 2 1)
2θ 43.72, intensity 304, (0 0 2)



Structure and computed X-ray powder pattern of SmHo2TeO8 (a structure optimized by DFT (PBE); Cu Kα, 1.54184 Å).
Peak positions follow from Bragg's law for the DFT cell and can differ from measured ones.

Crystal structure
```
data_SmHo2TeO8
_cell_length_a 7.0531
_cell_length_b 7.1326
_cell_length_c 6.9643
_cell_angle_alpha 90.00
_cell_angle_beta 90.00
_cell_angle_gamma 90.00
_symmetry_space_group_name_H-M 'C m m m'
_symmetry_Int_Tables_number 65
_symmetry_space_group_name_Hall '-C 2 2'
loop_
_atom_site_label
_atom_site_fract_x
_atom_site_fract_y
_atom_site_fract_z
Sm1 0.0000 0.0000 0.0000
Ho1 0.0000 0.5000 0.2574
Te1 0.0000 0.0000 0.5000
O1 0.0000 0.1842 0.2918
O2 0.1827 0.5000 0.0000
O3 0.2229 0.5000 0.5000
```

Main lines, by intensity (2θ from 15° to 90°):
2θ 31.27, intensity 1000, (1 1 2)
2θ 24.97, intensity 561, (0 2 0)
2θ 25.25, intensity 530, (2 0 0)
2θ 48.10, intensity 391, (1 3 2)
2θ 48.43, intensity 372, (3 1 2)
2θ 35.81, intensity 285, (2 2 0)
2θ 61.53, intensity 217, (3 3 2)
2θ 65.24, intensity 114, (2 2 4)
2θ 59.04, intensity 106, (0 2 4)
2θ 58.38, intensity 93, (4 2 0)



Structure and computed X-ray powder pattern of SrLiAl3N4 (a structure optimized by DFT (PBE); Cu Kα, 1.54184 Å).
Peak positions follow from Bragg's law for the DFT cell and can differ from measured ones.

Crystal structure
```
data_SrLiAl3N4
_cell_length_a 5.8807
_cell_length_b 7.5325
_cell_length_c 9.9961
_cell_angle_alpha 83.61
_cell_angle_beta 76.81
_cell_angle_gamma 79.58
_symmetry_space_group_name_H-M 'P -1'
_symmetry_Int_Tables_number 2
_symmetry_space_group_name_Hall '-P 1'
loop_
_atom_site_label
_atom_site_fract_x
_atom_site_fract_y
_atom_site_fract_z
Sr1 0.0040 0.1340 0.1268
Sr2 0.0246 0.3843 0.3710
Li1 0.2101 0.1797 0.6448
Li2 0.4692 0.3259 0.1117
Al1 0.1687 0.7087 0.1472
Al2 0.1756 0.9403 0.3980
Al3 0.1785 0.4431 0.8998
Al4 0.4360 0.7962 0.6329
Al5 0.4477 0.0462 0.8765
Al6 0.4694 0.5615 0.3755
N1 0.1507 0.9308 0.5924
N2 0.1629 0.4775 0.0882
N3 0.1691 0.2050 0.8564
N4 0.1987 0.7095 0.3321
N5 0.3405 0.5906 0.7611
N6 0.3489 0.8683 0.0285
N7 0.3733 0.3552 0.5039
N8 0.3866 0.0827 0.2800
```

Main lines, by intensity (2θ from 15° to 90°):
2θ 37.05, intensity 1000, (0 0 4)
2θ 15.64, intensity 592, (0 1 -1)
2θ 35.36, intensity 403, (1 2 -2)
2θ 35.48, intensity 398, (2 -1 1)
2θ 37.18, intensity 323, (2 1 3)
2θ 29.33, intensity 235, (0 1 3)
2θ 64.54, intensity 186, (2 -4 0)
2θ 64.75, intensity 160, (3 -1 5)
2θ 51.08, intensity 151, (3 -1 1)
2θ 55.85, intensity 132, (1 3 5)



> Which formula does entry 3 have?

SrLiAl3N4